The following is a theoretical powder X-ray diffraction pattern of Tm2Th2Bi5. It was derived from a structure optimized by DFT (GGA-PBE), using Cu Kα.
Intensities are scaled so that the largest is 100.

Principal peaks in the range 10 to 80 degrees two-theta, low angle first:
26.08 deg, I 17.0; 28.93 deg, I 67.1; 29.90 deg, I 31.2; 30.76 deg, I 20.5; 31.69 deg, I 34.5; 32.59 deg, I 59.0; 33.57 deg, I 22.1; 34.00 deg, I 100.0; 36.77 deg, I 15.7; 44.13 deg, I 28.6; 48.14 deg, I 25.7; 61.70 deg, I 28.8

Structure:
abc: 16.016 8.442 8.463
angles: 90.00 90.00 90.00
Space group Cmce (No. 64)
Unique sites:
Tm 0.000 0.149 0.152 [8 per cell]
Th 0.195 0.000 0.500 [8 per cell]
Bi 0.000 0.000 0.500 [4 per cell]
Bi 0.136 0.156 0.846 [16 per cell]